# YCu3S6
Theoretical X-ray powder pattern, Cu Kα (λ = 1.5418 Å). Input: DFT lattice parameters and positions (GGA-PBE).

Structure:
a = 6.7372 Å, b = 8.5237 Å, c = 14.3427 Å
α = 90.00°, β = 90.00°, γ = 90.00°
Positions (direct):
Y1 0.0048 0.0471 0.0701
Y2 0.4952 0.9529 0.5701
Y3 0.5048 0.4529 0.9299
Y4 0.9952 0.5471 0.4299
Cu1 0.0072 0.4855 0.6593
Cu2 0.1145 0.1859 0.6914
Cu3 0.1319 0.7864 0.6820
Cu4 0.3681 0.2136 0.1820
Cu5 0.3855 0.8141 0.1914
Cu6 0.4928 0.5145 0.1593
Cu7 0.5072 0.0145 0.3407
Cu8 0.6145 0.3141 0.3086
Cu9 0.6319 0.7136 0.3180
Cu10 0.8681 0.2864 0.8180
Cu11 0.8855 0.6859 0.8086
Cu12 0.9928 0.9855 0.8407
S1 0.1807 0.7876 0.5273
S2 0.2138 0.3655 0.8063
S3 0.2147 0.0127 0.2658
S4 0.2167 0.1949 0.5408
S5 0.2252 0.6153 0.8035
S6 0.2405 0.5595 0.0610
S7 0.2595 0.4405 0.5610
S8 0.2748 0.3847 0.3035
S9 0.2833 0.8051 0.0408
S10 0.2853 0.9873 0.7658
S11 0.2862 0.6345 0.3063
S12 0.3193 0.2124 0.0273
S13 0.6807 0.7124 0.4727
S14 0.7138 0.1345 0.1937
S15 0.7147 0.4873 0.7342
S16 0.7167 0.3051 0.4592
S17 0.7252 0.8847 0.1965
S18 0.7405 0.9405 0.9390
S19 0.7595 0.0595 0.4390
S20 0.7748 0.1153 0.6965
S21 0.7833 0.6949 0.9592
S22 0.7853 0.5127 0.2342
S23 0.7862 0.8655 0.6937
S24 0.8193 0.2876 0.9727

The 12 most intense peaks (2θ from 5° to 70°), in order of falling intensity:
h k l	2θ/deg	I/Imax
1 0 1	14.5	100
1 1 1	17.9	77
1 0 5	33.9	65
3 1 1	42.1	46
2 1 4	38.1	44
1 3 1	34.8	30
2 0 4	36.6	29
1 0 3	22.8	27
0 3 4	40.5	26
1 3 3	39.2	25
1 0 2	18.1	25
0 0 2	12.3	22